# HoZrCuPt
Theoretical XRD peak list, a wavelength of 1.5418 Å. Input: DFT lattice parameters and positions (PBE).
Kinematic intensities with the Lorentz-polarization factor, no thermal factor.

```
data_HoZrCuPt
_space_group_name_H-M_alt 'F -4 3 m'
_space_group_IT_number 216
_space_group_name_Hall 'F -4 2 3'
_cell_length_a 6.7847
_cell_length_b 6.7847
_cell_length_c 6.7847
_cell_angle_alpha 90.00
_cell_angle_beta 90.00
_cell_angle_gamma 90.00
loop_
_atom_site_label
_atom_site_fract_x
_atom_site_fract_y
_atom_site_fract_z
Ho1 0.0000 0.0000 0.0000
Zr1 0.0000 0.0000 0.5000
Cu1 0.2500 0.2500 0.7500
Pt1 0.2500 0.2500 0.2500
```

The 8 most intense peaks (10 to 90 degrees two-theta), by angle:
| (hkl) | 2θ (°) | I (rel.) |
| --- | --- | --- |
| 1 1 1 | 22.70 | 173 |
| 2 2 0 | 37.49 | 1000 |
| 3 1 1 | 44.28 | 95 |
| 4 0 0 | 54.07 | 173 |
| 3 3 1 | 59.38 | 42 |
| 4 2 2 | 67.65 | 349 |
| 4 4 0 | 80.00 | 109 |
| 5 3 1 | 84.48 | 34 |